Record 1
Computed X-ray diffraction stick pattern
Compound: Al2Ga2Cu7Si
Radiation: Cu Kα (λ = 1.5418 Å)
Structure: a crystal structure in Alexandria, relaxed with GGA-PBE

Peak list (8 most intense, 15 to 90 degrees two-theta, by intensity)
2θ (°)	I/Imax
47.85	100
42.16	93
42.31	91
39.96	77
45.38	67
32.90	61
48.53	53
82.22	47

Crystal structure
Cell lengths 3.816, 3.816, 11.403 Å; angles 90.14, 90.14, 94.55 degrees
Atoms (fractional coordinates):
Al 0.000 0.000 0.192
Al 0.000 0.000 0.808
Ga 0.500 0.500 0.188
Ga 0.500 0.500 0.812
Cu 0.000 0.000 0.500
Cu 0.001 0.500 0.349
Cu 0.246 0.246 0.000
Cu 0.500 0.001 0.349
Cu 0.500 0.999 0.651
Cu 0.754 0.754 0.000
Cu 0.999 0.500 0.651
Si 0.500 0.500 0.500

=====

Record 2
Computed X-ray diffraction stick pattern
Compound: AgO2F2
Radiation: Cu Kα (λ = 1.5418 Å)
Structure: a crystal structure in Alexandria, relaxed with GGA-PBE

Peak list (8 most intense, 15 to 90 degrees two-theta, by intensity)
2θ (°)	I/Imax
22.67	100
29.19	75
33.27	65
37.97	63
26.04	62
36.56	37
31.79	35
27.55	33

Crystal structure
Cell lengths 3.836, 3.836, 7.873 Å; angles 94.32, 94.32, 52.94 degrees
Atoms (fractional coordinates):
Ag 0.000 0.000 0.000
O 0.061 0.061 0.561
O 0.939 0.939 0.439
F 0.362 0.362 0.878
F 0.638 0.638 0.122